# 1
Diffraction record for BaPb. The X-ray powder pattern is simulated, not measured: it uses a structure optimized by DFT (GGA-PBE) and Cu Kα X-rays.
No peak broadening, texture or thermal motion is included.

Most intense lines, 10 to 80 degrees two-theta, by angle:
6.468 Å, I 23
4.979 Å, I 21
3.494 Å, I 86
3.234 Å, I 20
2.776 Å, I 100
2.698 Å, I 60
2.452 Å, I 25
1.814 Å, I 21

```
BaPb
1.0
5.3947 0.0000 0.0000
0.0000 12.9355 0.0000
0.0000 0.0000 4.9039
Ba Pb
4 4
direct
0.0000 0.1329 0.2500
0.0000 0.8671 0.7500
0.5000 0.3671 0.7500
0.5000 0.6329 0.2500
0.0000 0.4219 0.2500
0.0000 0.5781 0.7500
0.5000 0.0781 0.7500
0.5000 0.9219 0.2500
```

=====

# 2
Diffraction record for SrMgPt. The X-ray powder pattern is simulated, not measured: it uses a structure optimized by DFT (GGA-PBE) and Cu Kα X-rays.
No peak broadening, texture or thermal motion is included.

Most intense lines, 10 to 80 degrees two-theta, by angle:
3.759 Å, I 75
3.520 Å, I 79
2.876 Å, I 40
2.749 Å, I 100
2.421 Å, I 35
2.307 Å, I 29
2.234 Å, I 34
2.190 Å, I 28

```
SrMgPt
1.0
7.6224 0.0000 0.0000
0.0000 4.4680 0.0000
0.0000 0.0000 8.6406
Sr Mg Pt
4 4 4
direct
0.0267 0.2500 0.1778
0.4733 0.7500 0.6778
0.5267 0.2500 0.3222
0.9733 0.7500 0.8222
0.1384 0.2500 0.5630
0.3616 0.7500 0.0630
0.6384 0.2500 0.9370
0.8616 0.7500 0.4370
0.2199 0.7500 0.3825
0.2801 0.2500 0.8825
0.7199 0.7500 0.1175
0.7801 0.2500 0.6175
```

=====

# 3
Diffraction record for SmY3Fe34. The X-ray powder pattern is simulated, not measured: it uses a structure optimized by DFT (GGA-PBE) and Cu Kα X-rays.
No peak broadening, texture or thermal motion is included.

Most intense lines, 10 to 80 degrees two-theta, by angle:
2.967 Å, I 23
2.460 Å, I 37
2.208 Å, I 33
2.131 Å, I 60
2.114 Å, I 100
2.067 Å, I 34
1.894 Å, I 38
1.230 Å, I 19

```
SmY3Fe34
1.0
8.5232 0.0000 0.0000
-4.2616 7.3813 0.0000
0.0000 0.0000 8.2684
Sm Y Fe
1 3 34
direct
0.0000 0.0000 0.0000
0.3333 0.6667 0.0000
0.3333 0.6667 0.5000
0.6667 0.3333 0.5000
0.0000 0.0000 0.3575
0.0000 0.0000 0.6425
0.0010 0.5005 0.2651
0.0010 0.5005 0.7349
0.0040 0.2984 0.5000
0.0040 0.7057 0.5000
0.1677 0.3354 0.2364
0.1677 0.3354 0.7636
0.1677 0.8323 0.2364
0.1677 0.8323 0.7636
0.2943 0.2984 0.5000
0.2943 0.9960 0.5000
0.3343 0.1672 0.2506
0.3343 0.1672 0.7494
0.3731 0.0351 0.0000
0.3731 0.3380 0.0000
0.4995 0.5005 0.2651
0.4995 0.5005 0.7349
0.4995 0.9990 0.2651
0.4995 0.9990 0.7349
0.6620 0.0351 0.0000
0.6620 0.6269 0.0000
0.6646 0.8323 0.2364
0.6646 0.8323 0.7636
0.6667 0.3333 0.1429
0.6667 0.3333 0.8571
0.7016 0.7057 0.5000
0.7016 0.9960 0.5000
0.8328 0.1672 0.2506
0.8328 0.1672 0.7494
0.8328 0.6657 0.2506
0.8328 0.6657 0.7494
0.9649 0.3380 0.0000
0.9649 0.6269 0.0000
```

=====

# 4
Diffraction record for Nd6Fe13Si. The X-ray powder pattern is simulated, not measured: it uses a structure optimized by DFT (GGA-PBE) and Cu Kα X-rays.
No peak broadening, texture or thermal motion is included.

Most intense lines, 10 to 80 degrees two-theta, by angle:
3.250 Å, I 69
2.831 Å, I 100
2.538 Å, I 80
2.337 Å, I 56
2.321 Å, I 39
2.082 Å, I 33
1.939 Å, I 38
1.580 Å, I 29

```
Nd6Fe13Si
1.0
-4.0113 4.0113 11.5020
4.0113 -4.0113 11.5020
4.0113 4.0113 -11.5020
Nd Fe Si
12 26 2
direct
0.0226 0.5226 0.1674
0.1088 0.1088 0.0000
0.1449 0.9774 0.5000
0.3551 0.8551 0.8326
0.3912 0.3912 0.0000
0.4774 0.6449 0.5000
0.5226 0.3551 0.5000
0.6088 0.6088 0.0000
0.6449 0.1449 0.1674
0.8551 0.0226 0.5000
0.8912 0.8912 0.0000
0.9774 0.4774 0.8326
0.0000 0.5000 0.5000
0.0176 0.2912 0.5000
0.0662 0.2091 0.2753
0.1190 0.6190 0.8581
0.2088 0.4824 0.5000
0.2091 0.9338 0.1429
0.2391 0.7391 0.8581
0.2609 0.1190 0.5000
0.2909 0.4338 0.7247
0.2912 0.7912 0.2736
0.3810 0.2391 0.5000
0.4338 0.7091 0.1429
0.4824 0.9824 0.2736
0.5000 0.0000 0.5000
0.5176 0.0176 0.7264
0.5662 0.2909 0.8571
0.6190 0.7609 0.5000
0.7088 0.2088 0.7264
0.7091 0.5662 0.2753
0.7391 0.8810 0.5000
0.7609 0.2609 0.1419
0.7909 0.0662 0.8571
0.7912 0.5176 0.5000
0.8810 0.3810 0.1419
0.9338 0.7909 0.7247
0.9824 0.7088 0.5000
0.2500 0.2500 0.0000
0.7500 0.7500 0.0000
```

=====

# 5
Diffraction record for Tb3Ge5. The X-ray powder pattern is simulated, not measured: it uses a structure optimized by DFT (GGA-PBE) and Cu Kα X-rays.
No peak broadening, texture or thermal motion is included.

Most intense lines, 10 to 80 degrees two-theta, by angle:
3.467 Å, I 21
2.674 Å, I 100
2.101 Å, I 14
2.001 Å, I 28
1.602 Å, I 16
1.449 Å, I 20
1.298 Å, I 10
1.251 Å, I 16

```
Tb3Ge5
1.0
6.9332 0.0000 0.0000
-3.4666 6.0043 0.0000
0.0000 0.0000 8.4025
Tb Ge
6 10
direct
0.0000 0.3313 0.0000
0.0000 0.3313 0.5000
0.3313 0.0000 0.0000
0.3313 0.0000 0.5000
0.6687 0.6687 0.0000
0.6687 0.6687 0.5000
0.0000 0.0000 0.2500
0.0000 0.0000 0.7500
0.0705 0.6686 0.2500
0.3314 0.4019 0.2500
0.3333 0.6667 0.7500
0.4019 0.3314 0.7500
0.5981 0.9295 0.2500
0.6667 0.3333 0.2500
0.6686 0.0705 0.7500
0.9295 0.5981 0.7500
```

=====

# 6
Diffraction record for PtCl4O5. The X-ray powder pattern is simulated, not measured: it uses a structure optimized by DFT (GGA-PBE) and Cu Kα X-rays.
No peak broadening, texture or thermal motion is included.

Most intense lines, 10 to 80 degrees two-theta, by angle:
6.421 Å, I 47
5.749 Å, I 85
5.571 Å, I 68
5.397 Å, I 100
4.865 Å, I 76
3.990 Å, I 44
3.285 Å, I 36
2.627 Å, I 40

```
PtCl4O5
1.0
4.0063 -5.4076 0.0000
4.0063 5.4076 0.0000
-1.0215 0.0000 11.1425
Pt Cl O
2 8 10
direct
0.1759 0.8241 0.5000
0.8241 0.1759 0.0000
0.0274 0.9579 0.0404
0.1215 0.4616 0.0358
0.1460 0.8578 0.2997
0.4616 0.1215 0.5358
0.5259 0.8875 0.9835
0.8578 0.1460 0.7997
0.8875 0.5259 0.4835
0.9579 0.0274 0.5404
0.1546 0.7866 0.7378
0.3469 0.6564 0.5090
0.3764 0.4324 0.3129
0.4324 0.3764 0.8129
0.4753 0.5319 0.7569
0.5319 0.4753 0.2569
0.6564 0.3469 0.0090
0.6941 0.9862 0.2738
0.7866 0.1546 0.2378
0.9862 0.6941 0.7738
```

=====

# 7
Diffraction record for Li7Nb12O24. The X-ray powder pattern is simulated, not measured: it uses a structure optimized by DFT (GGA-PBE) and Cu Kα X-rays.
No peak broadening, texture or thermal motion is included.

Most intense lines, 10 to 80 degrees two-theta, by angle:
5.309 Å, I 100
2.575 Å, I 19
2.502 Å, I 36
2.317 Å, I 20
2.082 Å, I 54
1.639 Å, I 22
1.486 Å, I 9
1.432 Å, I 9

```
Li7Nb12O24
1.0
5.1469 0.0000 0.0000
0.0005 8.9255 0.0000
2.5530 1.4876 10.6170
Li Nb O
7 12 24
direct
0.0000 0.0000 0.0000
0.0003 0.3336 0.9995
0.9997 0.6664 0.0005
0.2532 0.0834 0.4999
0.2532 0.4167 0.4998
0.7468 0.5833 0.5002
0.7468 0.9166 0.5001
0.0399 0.1282 0.2526
0.0398 0.4542 0.2526
0.0486 0.7914 0.2524
0.4520 0.7078 0.7530
0.4619 0.0436 0.7535
0.4621 0.3719 0.7535
0.5379 0.6281 0.2465
0.5381 0.9564 0.2465
0.5480 0.2922 0.2470
0.9514 0.2086 0.7476
0.9602 0.5458 0.7474
0.9601 0.8718 0.7474
0.1443 0.5998 0.3712
0.1444 0.9431 0.3713
0.1613 0.2715 0.3714
0.2196 0.1884 0.8702
0.2225 0.5200 0.8706
0.2225 0.8564 0.8706
0.2525 0.6429 0.1352
0.2525 0.9787 0.1352
0.2580 0.3109 0.1348
0.3432 0.2281 0.6320
0.3580 0.5554 0.6318
0.3580 0.9007 0.6318
0.6420 0.0993 0.3682
0.6420 0.4446 0.3682
0.6568 0.7719 0.3680
0.7420 0.6891 0.8652
0.7475 0.0213 0.8648
0.7475 0.3571 0.8648
0.7775 0.1436 0.1294
0.7775 0.4800 0.1294
0.7804 0.8116 0.1298
0.8387 0.7285 0.6286
0.8556 0.0569 0.6287
0.8557 0.4002 0.6288
```